(1)
# CeCdBr6
Calculated X-ray powder pattern, a wavelength of 1.5418 Å. Input: a structure optimized by DFT (PBE).
No peak broadening, texture or thermal motion is included.

Largest 10 diffraction maxima, by angle, 2θ = 15–90°:
- 2θ 17.27, rel. 69.4
- 2θ 23.59, rel. 26.4
- 2θ 29.02, rel. 100.0
- 2θ 38.02, rel. 65.6
- 2θ 40.37, rel. 20.1
- 2θ 44.77, rel. 45.1
- 2θ 49.95, rel. 21.2
- 2θ 54.24, rel. 16.3
- 2θ 60.15, rel. 16.5
- 2θ 75.64, rel. 18.7

Cell and atoms:
```
8
Lattice="3.506 2.024 6.416 -3.506 2.024 6.416 0.000 -4.049 6.416" Properties=species:S:1:pos:R:3 pbc="T T T"
Ce 0.000 0.000 0.000
Cd 0.000 0.000 9.624
Br -1.112 -2.036 8.027
Br -2.319 -0.055 11.221
Br -1.208 1.981 8.027
Br 1.208 -1.981 11.221
Br 2.320 0.055 8.027
Br 1.112 2.036 11.221
```

(2)
# Bi4Pd
Calculated X-ray powder pattern, a wavelength of 1.5418 Å. Input: a structure optimized by DFT (PBE).
No peak broadening, texture or thermal motion is included.

Largest 10 diffraction maxima, by angle, 2θ = 15–90°:
- 2θ 24.80, rel. 30.8
- 2θ 25.63, rel. 100.0
- 2θ 27.41, rel. 57.1
- 2θ 29.82, rel. 29.4
- 2θ 32.41, rel. 39.4
- 2θ 34.37, rel. 18.7
- 2θ 38.37, rel. 30.2
- 2θ 41.77, rel. 32.7
- 2θ 42.76, rel. 19.7
- 2θ 43.39, rel. 28.3

Cell and atoms:
```
10
Lattice="3.391 -6.595 0.000 3.391 6.595 0.000 -2.105 0.000 7.180" Properties=species:S:1:pos:R:3 pbc="T T T"
Bi 0.967 2.997 2.123
Bi -0.199 0.733 6.280
Bi 0.853 -0.733 2.690
Bi -0.085 -2.997 5.713
Bi 4.763 2.997 1.468
Bi 3.824 0.733 4.490
Bi 4.877 -0.733 0.900
Bi 3.710 -2.997 5.058
Pd 2.865 0.968 1.795
Pd 1.812 -0.968 5.385
```

(3)
# Sc2GaReC
Calculated X-ray powder pattern, a wavelength of 1.5418 Å. Input: a structure optimized by DFT (PBE).
No peak broadening, texture or thermal motion is included.

Largest 10 diffraction maxima, by angle, 2θ = 15–90°:
- 2θ 19.65, rel. 30.1
- 2θ 22.38, rel. 17.1
- 2θ 27.93, rel. 27.2
- 2θ 29.95, rel. 13.9
- 2θ 36.08, rel. 100.0
- 2θ 39.91, rel. 42.4
- 2θ 45.68, rel. 14.2
- 2θ 57.71, rel. 13.9
- 2θ 62.24, rel. 21.9
- 2θ 69.97, rel. 27.9

Cell and atoms:
```
5
Lattice="4.518 0.000 0.000 0.000 4.518 0.000 0.000 0.000 3.973" Properties=species:S:1:pos:R:3 pbc="T T T"
Sc 0.000 2.259 0.000
Sc 2.259 0.000 0.000
Ga 0.000 0.000 1.986
Re 2.259 2.259 1.986
C 2.259 2.259 0.000
```

(4)
# Y2PuCdO8
Calculated X-ray powder pattern, a wavelength of 1.5418 Å. Input: a structure optimized by DFT (PBE).
No peak broadening, texture or thermal motion is included.

Largest 10 diffraction maxima, by angle, 2θ = 15–90°:
- 2θ 17.67, rel. 22.4
- 2θ 21.60, rel. 19.4
- 2θ 24.54, rel. 56.4
- 2θ 25.64, rel. 48.7
- 2θ 30.60, rel. 100.0
- 2θ 35.79, rel. 25.5
- 2θ 47.15, rel. 39.5
- 2θ 48.41, rel. 36.1
- 2θ 57.23, rel. 15.5
- 2θ 61.11, rel. 21.5

Cell and atoms:
```
12
Lattice="5.020 0.000 0.000 0.000 7.187 0.000 -0.217 0.000 5.021" Properties=species:S:1:pos:R:3 pbc="T T T"
Y 0.000 1.721 0.000
Y 0.000 5.466 0.000
Pu 2.401 3.594 2.511
Cd 2.401 0.000 2.511
O 0.942 0.000 0.989
O 1.009 3.594 1.068
O 1.432 2.149 3.450
O 1.432 5.039 3.450
O 3.371 2.149 1.571
O 3.371 5.039 1.571
O 3.794 3.594 3.953
O 3.861 0.000 4.033
```